Simulated X-ray powder pattern of Li2Mn2Si2O9 for a wavelength of 1.5418 Å, from DFT lattice parameters and positions (GGA+U).
No peak broadening, texture or thermal motion is included.

Most intense lines, 2θ from 10° to 90°, in order of rising 2θ:
two_theta	intensity	(hkl)
16.5	74	1 0 2
20.5	30	1 1 0
20.9	26	2 0 0
21.5	49	1 1 1
27.9	100	1 0 4
33.8	91	2 1 3
38.0	38	0 2 2
42.3	35	1 2 3
50.7	20	4 1 3
60.0	27	3 1 7
64.5	27	3 3 0
66.0	22	6 0 0

Structural model:
```
data_Li2Mn2Si2O9
_symmetry_space_group_name_H-M 'P b c n'
_symmetry_Int_Tables_number 60
_symmetry_space_group_name_Hall '-P 2n 2ab'
_cell_length_a 8.4867
_cell_length_b 5.0370
_cell_length_c 13.8307
_cell_angle_alpha 90.00
_cell_angle_beta 90.00
_cell_angle_gamma 90.00
loop_
_atom_site_label
_atom_site_fract_x
_atom_site_fract_y
_atom_site_fract_z
Li1 0.0366 0.1477 0.1592
Mn1 0.1561 0.3538 0.8300
Si1 0.1585 0.3121 0.5342
O1 0.0000 0.4882 0.2500
O2 0.0011 0.2018 0.9175
O3 0.1634 0.3139 0.4139
O4 0.1754 0.0307 0.7656
O5 0.1970 0.3834 0.0709
```